No. 1
Nd3CuHg3: theoretical powder diffractogram (Cu Kα), based on a crystal structure in Alexandria, relaxed with GGA-PBE.

Structural model:
Cell lengths 10.635, 10.635, 10.635 Å; angles 159.86, 153.50, 33.51 degrees
Element x y z (fractional)
1 Nd 0.000 0.000 0.000
2 Nd 0.380 0.380 0.000
3 Nd 0.699 0.199 0.500
4 Cu 0.263 0.763 0.500
5 Hg 0.134 0.634 0.500
6 Hg 0.546 0.546 0.000
7 Hg 0.833 0.833 0.000

Top 8 peaks for 5° ≤ 2θ ≤ 70°, low angle first:
31.51 deg, rel. 100
32.61 deg, rel. 41
35.10 deg, rel. 47
35.94 deg, rel. 72
36.87 deg, rel. 49
40.46 deg, rel. 29
50.03 deg, rel. 25
62.24 deg, rel. 36

No. 2
ZrPa2P3: theoretical powder diffractogram (Cu Kα), based on a crystal structure in Alexandria, relaxed with GGA-PBE.

Structural model:
Cell lengths 8.677, 8.677, 8.677 Å; angles 153.92, 153.92, 37.22 degrees
Element x y z (fractional)
1 Zr 0.000 0.000 0.000
2 Pa 0.334 0.334 0.000
3 Pa 0.666 0.666 0.000
4 P 0.162 0.162 0.000
5 P 0.500 0.500 0.000
6 P 0.838 0.838 0.000

Top 8 peaks for 5° ≤ 2θ ≤ 70°, low angle first:
28.00 deg, rel. 100
32.33 deg, rel. 70
32.67 deg, rel. 34
46.37 deg, rel. 26
46.62 deg, rel. 50
55.05 deg, rel. 33
55.49 deg, rel. 16
57.88 deg, rel. 27

No. 3
P2HIrAu: theoretical powder diffractogram (Cu Kα), based on a crystal structure in Alexandria, relaxed with GGA-PBE.

Structural model:
Cell lengths 3.286, 4.292, 6.150 Å; angles 94.54, 90.05, 112.39 degrees
Element x y z (fractional)
1 P 0.000 0.000 0.000
2 P 0.269 0.539 0.336
3 H 0.820 0.640 0.943
4 Ir 0.554 0.108 0.267
5 Au 0.126 0.251 0.666

Top 8 peaks for 5° ≤ 2θ ≤ 70°, low angle first:
14.46 deg, rel. 27
22.49 deg, rel. 93
25.75 deg, rel. 31
29.15 deg, rel. 34
32.49 deg, rel. 51
33.38 deg, rel. 100
41.17 deg, rel. 33
47.58 deg, rel. 38

No. 4
Nd4PN7: theoretical powder diffractogram (Cu Kα), based on a crystal structure in Alexandria, relaxed with GGA-PBE.

Structural model:
Cell lengths 3.762, 7.476, 8.287 Å; angles 70.97, 78.09, 80.13 degrees
Element x y z (fractional)
1 Nd 0.000 0.000 0.000
2 Nd 0.074 0.603 0.436
3 Nd 0.201 0.152 0.368
4 Nd 0.720 0.518 0.015
5 P 0.627 0.280 0.694
6 N 0.129 0.646 0.125
7 N 0.474 0.808 0.457
8 N 0.553 0.071 0.816
9 N 0.595 0.340 0.492
10 N 0.686 0.890 0.496
11 N 0.774 0.199 0.173
12 N 0.821 0.415 0.753

Top 8 peaks for 5° ≤ 2θ ≤ 70°, low angle first:
11.45 deg, rel. 50
23.01 deg, rel. 81
25.37 deg, rel. 51
28.63 deg, rel. 48
28.74 deg, rel. 100
30.82 deg, rel. 50
31.01 deg, rel. 83
31.16 deg, rel. 49

No. 5
Sm4DyTmS8: theoretical powder diffractogram (Cu Kα), based on a crystal structure in Alexandria, relaxed with GGA-PBE.

Structural model:
Cell lengths 8.152, 8.152, 8.152 Å; angles 60.08, 60.08, 60.08 degrees
Element x y z (fractional)
1 Sm 0.000 0.000 0.000
2 Sm 0.128 0.623 0.623
3 Sm 0.623 0.128 0.623
4 Sm 0.623 0.623 0.128
5 Dy 0.623 0.623 0.623
6 Tm 0.249 0.249 0.249
7 S 0.378 0.378 0.378
8 S 0.382 0.382 0.861
9 S 0.382 0.861 0.382
10 S 0.401 0.862 0.862
11 S 0.861 0.382 0.382
12 S 0.862 0.401 0.862
13 S 0.862 0.862 0.401
14 S 0.867 0.867 0.867

Top 8 peaks for 5° ≤ 2θ ≤ 70°, low angle first:
21.79 deg, rel. 28
25.61 deg, rel. 100
31.01 deg, rel. 17
38.22 deg, rel. 13
40.64 deg, rel. 43
44.43 deg, rel. 57
51.98 deg, rel. 15
61.76 deg, rel. 22

No. 6
Ce3Sm4Se8: theoretical powder diffractogram (Cu Kα), based on a crystal structure in Alexandria, relaxed with GGA-PBE.

Structural model:
Cell lengths 8.358, 8.358, 8.341 Å; angles 119.93, 119.93, 90.03 degrees
Element x y z (fractional)
1 Ce 0.000 0.000 0.000
2 Ce 0.000 0.500 0.000
3 Ce 0.500 0.000 0.000
4 Sm 0.000 0.500 0.500
5 Sm 0.500 0.000 0.500
6 Sm 0.500 0.500 0.000
7 Sm 0.500 0.500 0.500
8 Se 0.249 0.249 0.501
9 Se 0.249 0.751 0.500
10 Se 0.250 0.250 0.998
11 Se 0.251 0.749 0.000
12 Se 0.749 0.251 0.000
13 Se 0.750 0.750 0.002
14 Se 0.751 0.249 0.500
15 Se 0.751 0.751 0.499

Top 8 peaks for 5° ≤ 2θ ≤ 70°, low angle first:
12.97 deg, rel. 8
26.12 deg, rel. 10
30.25 deg, rel. 100
43.28 deg, rel. 62
43.39 deg, rel. 12
53.66 deg, rel. 13
53.80 deg, rel. 13
62.90 deg, rel. 12